Entry 1:
Diffraction record for CuH8Br2O4. The powder X-ray diffraction pattern is computed, not measured: it uses a DFT-relaxed cell (GGA-PBE, the Materials Project) and copper Kα.

Atomic structure:
Cell lengths 4.2228, 7.5163, 12.1813 Å; angles 90.00, 104.01, 90.00 degrees
Fractional positions:
Cu 0.0000 0.0000 0.0000
Cu 0.0000 0.5000 0.5000
H 0.0061 0.0243 0.7924
H 0.0061 0.4757 0.2924
H 0.2253 0.6687 0.1845
H 0.2253 0.8313 0.6845
H 0.2578 0.0283 0.6421
H 0.2578 0.4717 0.1421
H 0.3661 0.5040 0.7015
H 0.3661 0.9960 0.2015
H 0.6339 0.0040 0.7985
H 0.6339 0.4960 0.2985
H 0.7422 0.5283 0.8579
H 0.7422 0.9717 0.3579
H 0.7747 0.1687 0.3155
H 0.7747 0.3313 0.8155
H 0.9939 0.5243 0.7076
H 0.9939 0.9757 0.2076
Br 0.3863 0.2455 0.0240
Br 0.3863 0.2545 0.5240
Br 0.6137 0.7455 0.4760
Br 0.6137 0.7545 0.9760
O 0.1548 0.5644 0.6640
O 0.1548 0.9356 0.1640
O 0.2628 0.5445 0.2105
O 0.2628 0.9555 0.7105
O 0.7372 0.0445 0.2895
O 0.7372 0.4555 0.7895
O 0.8452 0.0644 0.8360
O 0.8452 0.4356 0.3360

Peak list (6 most intense, 2θ from 10° to 90°, low angle first)
2θ/deg, I/Imax
13.96, 56.4
14.99, 100.0
26.12, 51.9
30.25, 27.7
32.32, 46.8
33.41, 34.8

Entry 2:
Diffraction record for CuHgSeBr. The powder X-ray diffraction pattern is computed, not measured: it uses a DFT-relaxed cell (GGA-PBE, the Materials Project) and copper Kα.

Atomic structure:
Cell lengths 10.3074, 4.3280, 9.8233 Å; angles 90.00, 90.00, 90.00 degrees
Fractional positions:
Cu 0.0990 0.0000 0.2176
Cu 0.4010 0.0000 0.2176
Cu 0.5990 0.0000 0.7824
Cu 0.9010 0.0000 0.7824
Hg 0.0000 0.5000 0.5000
Hg 0.2500 0.5000 0.7901
Hg 0.5000 0.5000 0.5000
Hg 0.7500 0.5000 0.2099
Se 0.0023 0.5000 0.7594
Se 0.4977 0.5000 0.7594
Se 0.5023 0.5000 0.2406
Se 0.9977 0.5000 0.2406
Br 0.2500 0.0000 0.0223
Br 0.2500 0.0000 0.4330
Br 0.7500 0.0000 0.5670
Br 0.7500 0.0000 0.9777

Peak list (6 most intense, 2θ from 10° to 90°, low angle first)
2θ/deg, I/Imax
19.45, 44.5
24.07, 100.0
28.42, 37.9
32.59, 69.5
41.75, 46.3
49.70, 43.9

Entry 3:
Diffraction record for Cu4I3Br. The powder X-ray diffraction pattern is computed, not measured: it uses a DFT-relaxed cell (GGA-PBE, the Materials Project) and copper Kα.

Atomic structure:
Cell lengths 6.9286, 6.9286, 6.9288 Å; angles 99.63, 99.63, 33.63 degrees
Fractional positions:
Cu 0.1241 0.1241 0.3764
Cu 0.3752 0.3752 0.1268
Cu 0.6248 0.6248 0.8732
Cu 0.8759 0.8759 0.6236
I 0.0000 0.0000 0.0000
I 0.2490 0.2490 0.7473
I 0.7510 0.7510 0.2527
Br 0.5000 0.5000 0.5000

Peak list (6 most intense, 2θ from 10° to 90°, low angle first)
2θ/deg, I/Imax
27.29, 11.7
31.61, 100.0
45.31, 72.0
56.30, 24.6
75.08, 20.4
83.75, 15.3

Entry 4:
Diffraction record for Cu2IBr. The powder X-ray diffraction pattern is computed, not measured: it uses a DFT-relaxed cell (GGA-PBE, the Materials Project) and copper Kα.

Atomic structure:
Cell lengths 6.7800, 6.7800, 6.7800 Å; angles 33.76, 33.76, 33.76 degrees
Fractional positions:
Cu 0.2490 0.2490 0.2490
Cu 0.7510 0.7510 0.7510
I 0.0000 0.0000 0.0000
Br 0.5000 0.5000 0.5000

Peak list (6 most intense, 2θ from 10° to 90°, low angle first)
2θ/deg, I/Imax
32.22, 100.0
46.11, 35.9
46.32, 35.4
57.37, 18.2
76.56, 15.2
76.87, 15.0

Entry 5:
Diffraction record for Na2InCuBr6. The powder X-ray diffraction pattern is computed, not measured: it uses a DFT-relaxed cell (GGA-PBE, the Materials Project) and copper Kα.

Atomic structure:
Cell lengths 7.5687, 7.5687, 7.5687 Å; angles 60.00, 60.00, 60.00 degrees
Fractional positions:
Na 0.2500 0.2500 0.2500
Na 0.7500 0.7500 0.7500
In 0.0000 0.0000 0.0000
Cu 0.5000 0.5000 0.5000
Br 0.2552 0.2552 0.7448
Br 0.2552 0.7448 0.2552
Br 0.2552 0.7448 0.7448
Br 0.7448 0.2552 0.2552
Br 0.7448 0.2552 0.7448
Br 0.7448 0.7448 0.2552

Peak list (6 most intense, 2θ from 10° to 90°, low angle first)
2θ/deg, I/Imax
16.56, 98.4
28.90, 47.3
33.49, 100.0
37.58, 49.6
48.09, 69.7
80.21, 29.7

Repeat the first record exactly.
Diffraction record for CuH8Br2O4. The powder X-ray diffraction pattern is computed, not measured: it uses a DFT-relaxed cell (GGA-PBE, the Materials Project) and copper Kα.

Atomic structure:
Cell lengths 4.2228, 7.5163, 12.1813 Å; angles 90.00, 104.01, 90.00 degrees
Fractional positions:
Cu 0.0000 0.0000 0.0000
Cu 0.0000 0.5000 0.5000
H 0.0061 0.0243 0.7924
H 0.0061 0.4757 0.2924
H 0.2253 0.6687 0.1845
H 0.2253 0.8313 0.6845
H 0.2578 0.0283 0.6421
H 0.2578 0.4717 0.1421
H 0.3661 0.5040 0.7015
H 0.3661 0.9960 0.2015
H 0.6339 0.0040 0.7985
H 0.6339 0.4960 0.2985
H 0.7422 0.5283 0.8579
H 0.7422 0.9717 0.3579
H 0.7747 0.1687 0.3155
H 0.7747 0.3313 0.8155
H 0.9939 0.5243 0.7076
H 0.9939 0.9757 0.2076
Br 0.3863 0.2455 0.0240
Br 0.3863 0.2545 0.5240
Br 0.6137 0.7455 0.4760
Br 0.6137 0.7545 0.9760
O 0.1548 0.5644 0.6640
O 0.1548 0.9356 0.1640
O 0.2628 0.5445 0.2105
O 0.2628 0.9555 0.7105
O 0.7372 0.0445 0.2895
O 0.7372 0.4555 0.7895
O 0.8452 0.0644 0.8360
O 0.8452 0.4356 0.3360

Peak list (6 most intense, 2θ from 10° to 90°, low angle first)
2θ/deg, I/Imax
13.96, 56.4
14.99, 100.0
26.12, 51.9
30.25, 27.7
32.32, 46.8
33.41, 34.8